[1]
Structure and computed powder diffraction line list of K2PaPbO6 (the GGA-PBE geometry in Alexandria; Cu Kα).
Neutral-atom scattering factors, no anomalous dispersion.

Main lines, in order of rising 2θ (2θ = 10–80°):
2θ/deg	d/Å	Rel. int.
20.45	4.342	73.7
29.08	3.070	100.0
35.82	2.507	10.6
41.60	2.171	30.9
46.78	1.942	36.1
51.55	1.773	42.0
60.29	1.535	19.6
64.36	1.447	17.8
68.31	1.373	18.5
72.15	1.309	5.9
75.91	1.254	6.5
79.60	1.204	8.0

Crystal structure
a b c (Å): 6.141 6.141 6.141
angles (deg): 60.00 60.00 60.00
Fractional positions:
K (0.250, 0.250, 0.250)
K (0.750, 0.750, 0.750)
Pa (0.000, 0.000, 0.000)
Pb (0.500, 0.500, 0.500)
O (0.246, 0.753, 0.248)
O (0.247, 0.752, 0.754)
O (0.248, 0.246, 0.753)
O (0.752, 0.754, 0.247)
O (0.753, 0.248, 0.246)
O (0.754, 0.247, 0.752)

[2]
Structure and computed powder diffraction line list of Rb2TlTe3 (the GGA-PBE geometry in Alexandria; Cu Kα).
Neutral-atom scattering factors, no anomalous dispersion.

Main lines, in order of rising 2θ (2θ = 10–80°):
2θ/deg	d/Å	Rel. int.
14.00	6.324	100.0
14.15	6.257	45.3
21.38	4.157	29.0
25.71	3.465	21.0
28.22	3.162	32.6
28.53	3.128	50.4
33.69	2.660	32.0
35.93	2.500	38.1
39.41	2.286	21.0
43.55	2.078	19.3
45.97	1.974	17.2
52.70	1.737	22.0

Crystal structure
a b c (Å): 8.313 8.313 12.649
angles (deg): 90.00 90.00 120.00
Fractional positions:
Rb (0.000, 0.000, 0.000)
Rb (0.000, 0.000, 0.500)
Rb (0.333, 0.667, 0.249)
Rb (0.667, 0.333, 0.751)
Tl (0.333, 0.667, 0.750)
Tl (0.667, 0.333, 0.250)
Te (0.136, 0.272, 0.750)
Te (0.136, 0.864, 0.750)
Te (0.272, 0.136, 0.250)
Te (0.728, 0.864, 0.750)
Te (0.864, 0.136, 0.250)
Te (0.864, 0.728, 0.250)

[3]
Structure and computed powder diffraction line list of Ag7Pd5 (the GGA-PBE geometry in Alexandria; Cu Kα).
Neutral-atom scattering factors, no anomalous dispersion.

Main lines, in order of rising 2θ (2θ = 10–80°):
2θ/deg	d/Å	Rel. int.
36.22	2.480	11.8
37.50	2.398	66.2
38.16	2.358	55.4
41.09	2.197	50.9
41.14	2.194	100.0
46.61	1.949	11.5
46.66	1.947	23.2
61.78	1.502	14.4
65.11	1.433	21.8
70.98	1.328	28.1
78.05	1.224	25.6
78.15	1.223	12.7

Crystal structure
a b c (Å): 7.584 7.584 10.657
angles (deg): 117.18 117.18 21.74
Fractional positions:
Ag (0.000, 0.000, 0.000)
Ag (0.140, 0.140, 0.752)
Ag (0.168, 0.168, 0.504)
Ag (0.472, 0.472, 0.749)
Ag (0.528, 0.528, 0.251)
Ag (0.832, 0.832, 0.496)
Ag (0.860, 0.860, 0.248)
Pd (0.193, 0.193, 0.246)
Pd (0.332, 0.332, 0.998)
Pd (0.500, 0.500, 0.500)
Pd (0.668, 0.668, 0.002)
Pd (0.807, 0.807, 0.754)